Record 1
Structure and computed PXRD pattern of MnNbCoHSe2 (a structure optimized by DFT (GGA-PBE); CuKα).
Lines closer than 0.1° are merged.

Principal peaks in the range 15 to 90 degrees two-theta, by angle:
| hkl | d [Å] | I/Imax |
| --- | --- | --- |
| 1 0 1 | 3.368 | 49 |
| 0 0 4 | 3.257 | 25 |
| 1 0 3 | 2.719 | 22 |
| 1 1 0 | 2.519 | 100 |
| 1 1 2 | 2.350 | 62 |
| 0 1 5 | 2.119 | 94 |
| 1 0 5 | 2.087 | 33 |
| 1 1 4 | 1.993 | 96 |
| 0 2 0 | 1.822 | 41 |
| 2 0 0 | 1.743 | 35 |
| 2 1 5 | 1.346 | 47 |
| 2 2 0 | 1.260 | 23 |

Crystal structure
```
MnNbCoHSe2
1.0
3.4870 0.0000 0.0000
0.0000 3.6436 0.0000
0.0000 0.0000 13.0280
Mn Nb Co H Se
2 2 2 2 4
direct
0.0000 0.0000 0.0000
0.5000 0.5000 0.5000
0.0000 0.0000 0.3611
0.5000 0.5000 0.8611
0.0000 0.5000 0.6805
0.5000 0.0000 0.1805
0.0000 0.0000 0.1859
0.5000 0.5000 0.6859
0.0000 0.0000 0.5571
0.0000 0.0000 0.7997
0.5000 0.5000 0.0571
0.5000 0.5000 0.2997
```

---

Record 2
Structure and computed PXRD pattern of MnNbCoHSe2 (a structure optimized by DFT (GGA-PBE); CuKα).
Lines closer than 0.1° are merged.

Principal peaks in the range 15 to 90 degrees two-theta, by angle:
| hkl | d [Å] | I/Imax |
| --- | --- | --- |
| 1 1 0 | 3.276 | 32 |
| 4 0 0 | 3.024 | 45 |
| 1 1 -1 | 2.622 | 42 |
| 3 1 0 | 2.601 | 37 |
| 1 1 1 | 2.409 | 70 |
| 3 1 -1 | 2.402 | 68 |
| 2 0 -2 | 2.056 | 74 |
| 6 0 0 | 2.016 | 30 |
| 3 1 1 | 1.985 | 100 |
| 5 1 -1 | 1.977 | 98 |
| 0 2 0 | 1.702 | 40 |
| 2 2 -2 | 1.311 | 40 |

Crystal structure
```
MnNbCoHSe2
1.0
12.7505 0.0000 0.0000
0.0000 3.4032 0.0000
-1.3007 0.0000 3.9005
Mn Nb Co H Se
2 2 2 2 4
direct
0.0000 0.0000 0.0000
0.5000 0.5000 0.0000
0.1367 0.0000 0.6356
0.6367 0.5000 0.6356
0.4665 0.0000 0.4661
0.9665 0.5000 0.4661
0.4717 0.5000 0.4296
0.9717 0.0000 0.4296
0.1536 0.5000 0.1516
0.3637 0.0000 0.8597
0.6536 0.0000 0.1516
0.8637 0.5000 0.8597
```